Starting from a DFT-relaxed cell (PBE, Alexandria), the X-ray diffraction stick pattern of Tl2ReO5 was computed for Cu Kα X-rays.
Peak positions follow from Bragg's law for the DFT cell and can differ from measured ones.

Structural model:
```
8
Lattice="-3.186 3.186 4.464 3.186 -3.186 4.464 3.186 3.186 -4.464" Properties=species:S:1:pos:R:3 pbc="T T T"
Tl 3.186 0.000 0.000
Tl 0.000 3.186 0.000
Re 0.000 0.000 1.489
O 1.267 1.267 0.938
O 1.919 -1.919 5.401
O 0.000 0.000 3.233
O -1.919 1.919 5.401
O 1.919 1.919 5.401
```

Top 12 peaks for 2θ = 15–90°, in order of rising 2θ:
- 2θ 17.10, 5.187 Å, I = 561
- 2θ 19.70, 4.506 Å, I = 159
- 2θ 19.89, 4.464 Å, I = 326
- 2θ 28.00, 3.186 Å, I = 566
- 2θ 28.14, 3.171 Å, I = 1000
- 2θ 34.59, 2.593 Å, I = 206
- 2θ 40.02, 2.253 Å, I = 306
- 2θ 45.05, 2.012 Å, I = 192
- 2θ 45.35, 2.000 Å, I = 299
- 2θ 49.64, 1.837 Å, I = 430
- 2θ 62.05, 1.496 Å, I = 225
- 2θ 65.54, 1.424 Å, I = 218

***

Starting from a DFT-relaxed cell (PBE, Alexandria), the X-ray diffraction stick pattern of Cs3Tl6Bi2Sb was computed for Cu Kα X-rays.
Peak positions follow from Bragg's law for the DFT cell and can differ from measured ones.

Structural model:
```
12
Lattice="8.360 0.000 0.000 -4.180 7.240 0.000 0.000 0.000 10.037" Properties=species:S:1:pos:R:3 pbc="T T T"
Cs 0.000 0.000 0.000
Cs 0.000 4.826 7.840
Cs 4.180 2.413 2.197
Tl 0.000 2.976 4.203
Tl -1.603 5.752 4.203
Tl 2.577 1.488 5.834
Tl 1.603 5.752 4.203
Tl 5.782 1.488 5.834
Tl 4.180 4.264 5.834
Bi 0.000 4.826 1.538
Bi 4.180 2.413 8.499
Sb 0.000 0.000 5.018
```

Top 12 peaks for 2θ = 15–90°, in order of rising 2θ:
- 2θ 15.09, 5.872 Å, I = 692
- 2θ 21.26, 4.180 Å, I = 750
- 2θ 21.55, 4.124 Å, I = 539
- 2θ 23.05, 3.859 Å, I = 494
- 2θ 29.41, 3.037 Å, I = 971
- 2θ 30.45, 2.936 Å, I = 1000
- 2θ 33.96, 2.640 Å, I = 915
- 2θ 37.43, 2.402 Å, I = 954
- 2θ 38.36, 2.346 Å, I = 504
- 2θ 43.29, 2.090 Å, I = 439
- 2θ 46.39, 1.957 Å, I = 414
- 2θ 62.43, 1.488 Å, I = 413

***

Starting from a DFT-relaxed cell (PBE, Alexandria), the X-ray diffraction stick pattern of PrMg4Pt4 was computed for Cu Kα X-rays.
Peak positions follow from Bragg's law for the DFT cell and can differ from measured ones.

Structural model:
```
18
Lattice="6.633 0.000 0.000 0.000 6.633 0.000 0.000 0.000 8.314" Properties=species:S:1:pos:R:3 pbc="T T T"
Pr 1.658 4.975 2.079
Pr 4.975 1.658 6.236
Mg 0.005 1.658 1.115
Mg 1.658 0.005 5.272
Mg 1.658 3.312 5.272
Mg 3.312 1.658 1.115
Mg 3.321 4.975 7.199
Mg 4.975 3.321 3.042
Mg 4.975 6.628 3.042
Mg 6.628 4.975 7.199
Pt 0.276 1.658 3.753
Pt 1.658 0.276 7.910
Pt 1.658 3.040 7.910
Pt 3.040 1.658 3.753
Pt 3.593 4.975 4.561
Pt 4.975 3.593 0.404
Pt 4.975 6.357 0.404
Pt 6.357 4.975 4.561
```

Top 12 peaks for 2θ = 15–90°, in order of rising 2θ:
- 2θ 21.37, 4.157 Å, I = 313
- 2θ 25.28, 3.522 Å, I = 188
- 2θ 28.70, 3.111 Å, I = 255
- 2θ 28.99, 3.080 Å, I = 1000
- 2θ 32.04, 2.794 Å, I = 399
- 2θ 35.09, 2.557 Å, I = 256
- 2θ 38.38, 2.345 Å, I = 249
- 2θ 42.51, 2.127 Å, I = 258
- 2θ 44.35, 2.043 Å, I = 387
- 2θ 44.55, 2.034 Å, I = 209
- 2θ 45.74, 1.983 Å, I = 169
- 2θ 52.98, 1.728 Å, I = 242